(1)
# Sr2GaOsO6
Simulated X-ray powder pattern, λ = 1.5418 Å (Cu Kα). Input: a crystal structure in the Materials Project, relaxed with PBE.

Largest 10 diffraction maxima, sorted by position, 10 to 90 degrees two-theta:
2θ 19.40, I = 17
2θ 22.44, I = 10
2θ 31.95, I = 100
2θ 37.65, I = 10
2θ 45.81, I = 32
2θ 50.19, I = 5
2θ 56.93, I = 40
2θ 66.79, I = 19
2θ 75.95, I = 17
2θ 84.76, I = 7

```
data_Sr2GaOsO6
_chemical_formula_sum 'Sr8 Ga4 Os4 O24'
_space_group_name_H-M_alt 'F m -3 m'
_space_group_IT_number 225
_space_group_name_Hall '-F 4 2 3'
_cell_length_a 7.924
_cell_length_b 7.924
_cell_length_c 7.924
_cell_angle_alpha 90.00
_cell_angle_beta 90.00
_cell_angle_gamma 90.00
loop_
_atom_site_label
_atom_site_fract_x
_atom_site_fract_y
_atom_site_fract_z
_atom_site_occupancy
Sr1 0.250 0.250 0.250 1
Ga1 0.000 0.000 0.000 1
Os1 0.000 0.000 0.500 1
O1 0.000 0.000 0.250 1
```

=====

(2)
# Sr3NiN3
Simulated X-ray powder pattern, λ = 1.5418 Å (Cu Kα). Input: a crystal structure in the Materials Project, relaxed with PBE.

Largest 10 diffraction maxima, sorted by position, 10 to 90 degrees two-theta:
2θ 13.56, I = 18
2θ 28.91, I = 100
2θ 32.06, I = 93
2θ 33.28, I = 66
2θ 36.40, I = 57
2θ 41.48, I = 28
2θ 50.14, I = 43
2θ 54.18, I = 25
2θ 61.72, I = 19
2θ 64.56, I = 26

```
data_Sr3NiN3
_chemical_formula_sum 'Sr6 Ni2 N6'
_space_group_name_H-M_alt 'P 63/m'
_space_group_IT_number 176
_space_group_name_Hall '-P 6c'
_cell_length_a 7.5414
_cell_length_b 7.5414
_cell_length_c 5.3840
_cell_angle_alpha 90.00
_cell_angle_beta 90.00
_cell_angle_gamma 120.00
loop_
_atom_site_label
_atom_site_fract_x
_atom_site_fract_y
_atom_site_fract_z
_atom_site_occupancy
Sr1 0.0838 0.3638 0.2500 1
Ni1 0.3333 0.6667 0.7500 1
N1 0.1091 0.4153 0.7500 1
```

=====

(3)
# NiMoP
Simulated X-ray powder pattern, λ = 1.5418 Å (Cu Kα). Input: a crystal structure in the Materials Project, relaxed with PBE.

Largest 10 diffraction maxima, sorted by position, 10 to 90 degrees two-theta:
2θ 30.52, I = 11
2θ 39.02, I = 100
2θ 43.06, I = 68
2θ 47.42, I = 40
2θ 48.56, I = 27
2θ 54.25, I = 12
2θ 70.21, I = 24
2θ 71.64, I = 21
2θ 86.48, I = 11
2θ 87.84, I = 16

```
data_NiMoP
_chemical_formula_sum 'Ni3 Mo3 P3'
_space_group_name_H-M_alt 'P -6 2 m'
_space_group_IT_number 189
_space_group_name_Hall 'P -6 -2'
_cell_length_a 5.8572
_cell_length_b 5.8572
_cell_length_c 3.7499
_cell_angle_alpha 90.00
_cell_angle_beta 90.00
_cell_angle_gamma 120.00
loop_
_atom_site_label
_atom_site_fract_x
_atom_site_fract_y
_atom_site_fract_z
_atom_site_occupancy
Ni1 0.0000 0.7490 0.0000 1
Mo1 0.0000 0.4138 0.5000 1
P1 0.0000 0.0000 0.5000 1
P2 0.3333 0.6667 0.0000 1
```

=====

(4)
# LaMg2Ti3S8
Simulated X-ray powder pattern, λ = 1.5418 Å (Cu Kα). Input: a crystal structure in the Materials Project, relaxed with PBE.

Largest 10 diffraction maxima, sorted by position, 10 to 90 degrees two-theta:
2θ 14.72, I = 77
2θ 16.70, I = 17
2θ 24.37, I = 20
2θ 26.83, I = 32
2θ 28.02, I = 76
2θ 33.77, I = 100
2θ 44.43, I = 19
2θ 45.20, I = 20
2θ 47.03, I = 47
2θ 49.94, I = 47

```
data_LaMg2Ti3S8
_chemical_formula_sum 'La2 Mg4 Ti6 S16'
_space_group_name_H-M_alt 'C 1 2/m 1'
_space_group_IT_number 12
_cell_length_a 12.637
_cell_length_b 7.313
_cell_length_c 7.753
_cell_angle_alpha 90.00
_cell_angle_beta 122.93
_cell_angle_gamma 90.00
loop_
_space_group_symop_operation_xyz
'x,y,z'
'-x,-y,-z'
'-x,y,-z'
'x,-y,z'
'x+1/2,y+1/2,z'
'-x+1/2,-y+1/2,-z'
'-x+1/2,y+1/2,-z'
'x+1/2,-y+1/2,z'
loop_
_atom_site_label
_atom_site_fract_x
_atom_site_fract_y
_atom_site_fract_z
_atom_site_occupancy
La1 0.000 0.000 0.000 1
Mg1 0.128 0.500 0.884 1
Ti1 0.000 0.000 0.500 1
Ti2 0.250 0.250 0.500 1
S1 0.016 0.244 0.293 1
S2 0.239 0.500 0.706 1
S3 0.242 0.000 0.725 1
```

=====

(5)
# TbY3
Simulated X-ray powder pattern, λ = 1.5418 Å (Cu Kα). Input: a crystal structure in the Materials Project, relaxed with PBE.

Largest 10 diffraction maxima, sorted by position, 10 to 90 degrees two-theta:
2θ 17.55, I = 6
2θ 24.92, I = 6
2θ 30.64, I = 100
2θ 35.53, I = 50
2θ 51.12, I = 35
2θ 60.79, I = 41
2θ 63.80, I = 12
2θ 75.21, I = 5
2θ 83.36, I = 17
2θ 86.04, I = 15

```
data_TbY3
_chemical_formula_sum 'Tb1 Y3'
_space_group_name_H-M_alt 'P m -3 m'
_space_group_IT_number 221
_space_group_name_Hall '-P 4 2 3'
_cell_length_a 5.053
_cell_length_b 5.053
_cell_length_c 5.053
_cell_angle_alpha 90.00
_cell_angle_beta 90.00
_cell_angle_gamma 90.00
loop_
_atom_site_label
_atom_site_fract_x
_atom_site_fract_y
_atom_site_fract_z
_atom_site_occupancy
Tb1 0.000 0.000 0.000 1
Y1 0.000 0.500 0.500 1
```

=====

(6)
# PuSbPd2
Simulated X-ray powder pattern, λ = 1.5418 Å (Cu Kα). Input: a crystal structure in the Materials Project, relaxed with PBE.

Largest 10 diffraction maxima, sorted by position, 10 to 90 degrees two-theta:
2θ 22.55, I = 9
2θ 26.09, I = 7
2θ 37.24, I = 100
2θ 43.97, I = 5
2θ 46.04, I = 2
2θ 53.68, I = 17
2θ 58.95, I = 2
2θ 60.64, I = 3
2θ 67.14, I = 36
2θ 79.36, I = 11

```
data_PuSbPd2
_chemical_formula_sum 'Pu4 Sb4 Pd8'
_space_group_name_H-M_alt 'F m -3 m'
_space_group_IT_number 225
_space_group_name_Hall '-F 4 2 3'
_cell_length_a 6.830
_cell_length_b 6.830
_cell_length_c 6.830
_cell_angle_alpha 90.00
_cell_angle_beta 90.00
_cell_angle_gamma 90.00
loop_
_atom_site_label
_atom_site_fract_x
_atom_site_fract_y
_atom_site_fract_z
_atom_site_occupancy
Pu1 0.000 0.000 0.000 1
Sb1 0.000 0.000 0.500 1
Pd1 0.250 0.250 0.250 1
```